Record 1
Theoretical powder diffraction line list of ScBeB2 for copper Kα, from a cell relaxed with GGA-PBE.
No peak broadening, texture or thermal motion is included.

Top 12 peaks for 10 to 90 degrees two-theta, by intensity:
d [Å]  2θ (°)  Rel. int.
2.107  42.93  100
2.358  38.16  98
2.165  41.72  72
2.014  45.00  69
3.404  26.18  64
2.625  34.16  61
2.675  33.50  54
3.060  29.19  45
4.648  19.09  41
1.510  61.41  40
2.557  35.10  28
1.635  56.25  28

```
ScBeB2
1.0
5.509 0.000 0.000
0.000 3.271 0.000
0.000 0.000 8.660
Sc Be B
4 4 8
direct
0.127 0.250 0.137
0.373 0.750 0.637
0.627 0.250 0.363
0.873 0.750 0.863
0.126 0.250 0.438
0.374 0.750 0.938
0.626 0.250 0.062
0.874 0.750 0.562
0.027 0.250 0.668
0.215 0.250 0.834
0.285 0.750 0.334
0.473 0.750 0.168
0.527 0.250 0.832
0.715 0.250 0.666
0.785 0.750 0.166
0.973 0.750 0.332
```

---

Record 2
Theoretical powder diffraction line list of ScBeB for copper Kα, from a cell relaxed with GGA-PBE.
No peak broadening, texture or thermal motion is included.

Top 12 peaks for 10 to 90 degrees two-theta, by intensity:
d [Å]  2θ (°)  Rel. int.
2.251  40.05  100
2.611  34.35  57
3.301  27.01  56
1.974  45.97  36
3.017  29.61  33
1.716  53.40  25
1.295  73.07  16
1.540  60.06  15
1.434  65.05  15
1.491  62.25  13
1.146  84.53  11
1.548  59.72  11

```
ScBeB
1.0
3.432 0.000 0.000
0.000 3.432 0.000
0.000 0.000 12.067
Sc Be B
4 4 4
direct
0.000 0.000 0.000
0.000 0.500 0.250
0.500 0.000 0.750
0.500 0.500 0.500
0.000 0.500 0.658
0.000 0.500 0.842
0.500 0.000 0.158
0.500 0.000 0.342
0.000 0.000 0.428
0.000 0.000 0.572
0.500 0.500 0.072
0.500 0.500 0.928
```

---

Record 3
Theoretical powder diffraction line list of BeSn2B for copper Kα, from a cell relaxed with GGA-PBE.
No peak broadening, texture or thermal motion is included.

Top 12 peaks for 10 to 90 degrees two-theta, by intensity:
d [Å]  2θ (°)  Rel. int.
3.155  28.28  100
2.896  30.88  33
1.718  53.34  29
1.881  48.38  25
2.048  44.23  15
1.531  60.49  12
2.475  36.30  12
1.578  58.50  10
1.226  77.93  10
1.147  84.42  7
2.506  35.84  6
1.107  88.27  5

```
BeSn2B
1.0
5.792 0.000 0.000
0.000 5.792 0.000
0.000 0.000 9.901
Be Sn B
4 8 4
direct
0.000 0.000 0.000
0.000 0.500 0.250
0.500 0.000 0.750
0.500 0.500 0.500
0.215 0.250 0.625
0.250 0.715 0.875
0.250 0.785 0.375
0.285 0.250 0.125
0.715 0.750 0.125
0.750 0.215 0.375
0.750 0.285 0.875
0.785 0.750 0.625
0.000 0.000 0.500
0.000 0.500 0.750
0.500 0.000 0.250
0.500 0.500 0.000
```

---

Record 4
Theoretical powder diffraction line list of SrBeB for copper Kα, from a cell relaxed with GGA-PBE.
No peak broadening, texture or thermal motion is included.

Top 12 peaks for 10 to 90 degrees two-theta, by intensity:
d [Å]  2θ (°)  Rel. int.
3.051  29.27  100
3.368  26.46  69
3.564  24.98  67
4.405  20.16  64
2.461  36.51  60
2.937  30.44  42
2.103  43.01  36
2.616  34.27  29
2.979  29.99  29
2.197  41.09  24
2.180  41.43  24
1.936  46.94  22

```
SrBeB
1.0
3.776 0.000 0.000
0.000 3.252 0.000
-0.692 0.000 8.810
Sr Be B
2 2 2
direct
0.211 0.250 0.296
0.789 0.750 0.704
0.365 0.250 0.940
0.635 0.750 0.060
0.118 0.750 0.014
0.882 0.250 0.986
```

---

Record 5
Theoretical powder diffraction line list of Ta2BeB for copper Kα, from a cell relaxed with GGA-PBE.
No peak broadening, texture or thermal motion is included.

Top 12 peaks for 10 to 90 degrees two-theta, by intensity:
d [Å]  2θ (°)  Rel. int.
2.630  34.09  100
2.224  40.56  62
3.136  28.46  59
2.258  39.92  49
2.259  39.91  48
1.314  71.84  33
1.418  65.87  32
1.413  66.15  30
2.231  40.42  27
1.675  54.82  16
1.628  56.53  15
1.837  49.64  14

```
Ta2BeB
1.0
4.767 0.000 0.000
0.000 3.256 0.000
-2.356 0.000 6.271
Ta Be B
4 2 2
direct
0.205 0.250 0.432
0.212 0.250 0.922
0.788 0.750 0.078
0.795 0.750 0.568
0.373 0.750 0.220
0.627 0.250 0.780
0.371 0.750 0.717
0.629 0.250 0.283
```

---

Record 6
Theoretical powder diffraction line list of Ta2Be3B for copper Kα, from a cell relaxed with GGA-PBE.
No peak broadening, texture or thermal motion is included.

Top 12 peaks for 10 to 90 degrees two-theta, by intensity:
d [Å]  2θ (°)  Rel. int.
2.171  41.59  100
2.915  30.67  98
3.254  27.41  40
1.495  62.09  25
1.683  54.53  24
1.421  65.72  23
1.170  82.45  15
1.331  70.80  14
1.458  63.83  8
1.627  56.56  7
1.101  88.86  7
1.329  70.91  7

```
Ta2Be3B
1.0
0.000 3.369 5.824
3.254 0.000 5.824
3.254 3.369 0.000
Ta Be B
4 6 2
direct
0.246 0.754 0.754
0.250 0.250 0.250
0.750 0.750 0.750
0.754 0.246 0.246
0.160 0.669 0.331
0.330 0.330 0.670
0.331 0.840 0.160
0.669 0.160 0.840
0.670 0.670 0.330
0.840 0.331 0.669
0.168 0.168 0.832
0.832 0.832 0.168
```